Theoretical powder X-ray diffraction pattern
Compound: Pm12Co6Ag
Radiation: CuKα
Structure: a structure optimized by DFT (PBE)

Main lines, by angle (2θ = 15–90°):
2θ (°), Rel. int.
28.5, 45
31.3, 53
33.9, 100
36.3, 20
46.8, 25
54.0, 37
55.7, 13
57.3, 38
66.8, 20
81.3, 11
82.7, 16
84.1, 18

Cell and atoms:
```
19
Lattice="-4.9524 4.9524 4.9524 4.9524 -4.9524 4.9524 4.9524 4.9524 -4.9524" Properties=species:S:1:pos:R:3 pbc="T T T"
Pm 4.9524 -1.9302 3.0307
Pm 3.0222 1.9217 0.0000
Pm 6.8827 1.9217 0.0000
Pm 3.0307 4.9524 -1.9302
Pm 1.9217 0.0000 3.0222
Pm 0.0000 3.0222 1.9217
Pm 4.9524 1.9302 3.0307
Pm 3.0307 4.9524 1.9302
Pm 1.9217 0.0000 6.8827
Pm -1.9302 3.0307 4.9524
Pm 1.9302 3.0307 4.9524
Pm 0.0000 6.8827 1.9217
Co 4.9524 0.0000 1.1108
Co 4.9524 3.8417 0.0000
Co 1.1108 4.9524 0.0000
Co 3.8417 0.0000 4.9524
Co 0.0000 1.1108 4.9524
Co 0.0000 4.9524 3.8417
Ag 0.0000 0.0000 0.0000
```